This entry pairs a crystal structure of Ba2GdMgSbO6 with its calculated XRD peak list. Radiation: λ = 1.5418 Å (Cu Kα). Structure: a crystal structure in the Materials Project, relaxed with PBE.

Atomic structure:
Cell: 11.074 6.382 7.311 Å, 90.00 120.91 90.00°
Space group Cm (No. 8)
Inequivalent atoms, fractional coordinates:
Ba (0.000, 0.000, 0.000) [2 per cell]
Ba (0.103, 0.500, 0.803) [2 per cell]
Gd (0.252, 0.000, 0.754) [2 per cell]
Mg (0.400, 0.000, 0.188) [2 per cell]
Sb (0.309, 0.500, 0.429) [2 per cell]
O (0.019, 0.000, 0.623) [2 per cell]
O (0.275, 0.227, 0.036) [4 per cell]
O (0.291, 0.277, 0.607) [4 per cell]
O (0.497, 0.000, 0.032) [2 per cell]

Principal peaks in the range 10° ≤ 2θ ≤ 80°, low angle first:
2θ 14.1, I 35
2θ 24.9, I 15
2θ 27.9, I 100
2θ 28.6, I 41
2θ 28.8, I 21
2θ 31.5, I 15
2θ 37.7, I 12
2θ 40.3, I 13
2θ 40.6, I 18
2θ 49.4, I 21
2θ 49.7, I 9
2θ 57.7, I 19

---

This entry pairs a crystal structure of Ba2GdMgSbO6 with its calculated XRD peak list. Radiation: λ = 1.5418 Å (Cu Kα). Structure: a crystal structure in the Materials Project, relaxed with PBE.

Atomic structure:
Cell: 6.204 6.312 9.931 Å, 90.00 90.00 90.00°
Space group Immm (No. 71)
Inequivalent atoms, fractional coordinates:
Ba (0.000, 0.000, 0.192) [4 per cell]
Gd (0.000, 0.500, 0.000) [2 per cell]
Mg (0.000, 0.000, 0.500) [2 per cell]
Sb (0.000, 0.500, 0.500) [2 per cell]
O (0.000, 0.500, 0.245) [4 per cell]
O (0.230, 0.232, 0.500) [8 per cell]

Principal peaks in the range 10° ≤ 2θ ≤ 80°, low angle first:
2θ 27.0, I 100
2θ 28.3, I 37
2θ 28.8, I 36
2θ 30.5, I 19
2θ 30.6, I 12
2θ 36.2, I 13
2θ 40.8, I 42
2θ 41.7, I 12
2θ 42.4, I 14
2θ 49.3, I 20
2θ 49.9, I 19
2θ 55.6, I 13

---

This entry pairs a crystal structure of BaGdNbSnO6 with its calculated XRD peak list. Radiation: λ = 1.5418 Å (Cu Kα). Structure: a crystal structure in the Materials Project, relaxed with PBE.

Atomic structure:
Cell: 8.561 8.561 8.561 Å, 90.00 90.00 90.00°
Space group F-43m (No. 216)
Inequivalent atoms, fractional coordinates:
Ba (0.000, 0.000, 0.000) [4 per cell]
Gd (0.250, 0.250, 0.250) [4 per cell]
Nb (0.250, 0.250, 0.750) [4 per cell]
Sn (0.000, 0.000, 0.500) [4 per cell]
O (0.015, 0.250, 0.750) [24 per cell]

Principal peaks in the range 10° ≤ 2θ ≤ 80°, low angle first:
2θ 17.9, I 2
2θ 20.8, I 1
2θ 29.5, I 100
2θ 34.8, I 2
2θ 36.4, I 2
2θ 42.2, I 30
2θ 46.2, I 1
2θ 52.4, I 41
2θ 55.8, I 1
2θ 61.3, I 19
2θ 69.4, I 18
2θ 77.2, I 6

---

This entry pairs a crystal structure of BaGdNbSnO6 with its calculated XRD peak list. Radiation: λ = 1.5418 Å (Cu Kα). Structure: a crystal structure in the Materials Project, relaxed with PBE.

Atomic structure:
Cell: 5.961 6.022 8.549 Å, 90.56 90.31 90.60°
Space group P-1 (No. 2)
Inequivalent atoms, fractional coordinates:
Ba (0.006, 0.022, 0.249) [2 per cell]
Gd (0.000, 0.500, 0.000) [1 per cell]
Gd (0.500, 0.000, 0.500) [1 per cell]
Nb (0.000, 0.500, 0.500) [1 per cell]
Nb (0.500, 0.000, 0.000) [1 per cell]
Sn (0.496, 0.482, 0.752) [2 per cell]
O (0.099, 0.496, 0.734) [2 per cell]
O (0.191, 0.773, 0.473) [2 per cell]
O (0.223, 0.808, 0.018) [2 per cell]
O (0.268, 0.304, 0.445) [2 per cell]
O (0.310, 0.277, 0.047) [2 per cell]
O (0.443, 0.037, 0.767) [2 per cell]

Principal peaks in the range 10° ≤ 2θ ≤ 80°, low angle first:
2θ 29.6, I 100
2θ 29.7, I 33
2θ 30.0, I 62
2θ 42.3, I 18
2θ 42.5, I 17
2θ 42.9, I 17
2θ 52.6, I 13
2θ 52.7, I 14
2θ 52.9, I 23
2θ 53.0, I 14
2θ 61.4, I 10
2θ 61.6, I 10

---

This entry pairs a crystal structure of BaGdNbSnO6 with its calculated XRD peak list. Radiation: λ = 1.5418 Å (Cu Kα). Structure: a crystal structure in the Materials Project, relaxed with PBE.

Atomic structure:
Cell: 8.446 8.525 8.536 Å, 90.00 90.00 90.00°
Space group Pnnn (No. 48, origin choice 2)
Inequivalent atoms, fractional coordinates:
Ba (0.250, 0.250, 0.250) [2 per cell]
Ba (0.250, 0.250, 0.750) [2 per cell]
Gd (0.000, 0.000, 0.000) [4 per cell]
Nb (0.000, 0.000, 0.500) [4 per cell]
Sn (0.250, 0.750, 0.250) [2 per cell]
Sn (0.250, 0.750, 0.750) [2 per cell]
O (0.031, 0.734, 0.047) [8 per cell]
O (0.036, 0.542, 0.766) [8 per cell]
O (0.234, 0.036, 0.476) [8 per cell]

Principal peaks in the range 10° ≤ 2θ ≤ 80°, low angle first:
2θ 29.6, I 52
2θ 29.8, I 100
2θ 42.4, I 28
2θ 42.8, I 14
2θ 52.7, I 45
2θ 52.9, I 22
2θ 61.5, I 8
2θ 61.8, I 17
2θ 69.7, I 14
2θ 69.8, I 5
2θ 70.4, I 9
2θ 77.8, I 8

---

This entry pairs a crystal structure of BaGd2O4 with its calculated XRD peak list. Radiation: λ = 1.5418 Å (Cu Kα). Structure: a crystal structure in the Materials Project, relaxed with PBE.

Atomic structure:
Cell: 10.601 3.540 12.357 Å, 90.00 90.00 90.00°
Space group Pnma (No. 62)
Inequivalent atoms, fractional coordinates:
Ba (0.247, 0.250, 0.148) [4 per cell]
Gd (0.075, 0.250, 0.389) [4 per cell]
Gd (0.078, 0.250, 0.890) [4 per cell]
O (0.018, 0.750, 0.783) [4 per cell]
O (0.071, 0.250, 0.575) [4 per cell]
O (0.117, 0.750, 0.019) [4 per cell]
O (0.210, 0.750, 0.337) [4 per cell]

Principal peaks in the range 10° ≤ 2θ ≤ 80°, low angle first:
2θ 28.9, I 47
2θ 29.1, I 99
2θ 30.3, I 100
2θ 34.5, I 18
2θ 42.4, I 29
2θ 42.6, I 20
2θ 51.3, I 16
2θ 51.7, I 27
2θ 52.3, I 21
2θ 52.4, I 15
2θ 60.3, I 24
2θ 60.4, I 26

---

This entry pairs a crystal structure of Ba2GdPaO6 with its calculated XRD peak list. Radiation: λ = 1.5418 Å (Cu Kα). Structure: a crystal structure in the Materials Project, relaxed with PBE.

Atomic structure:
Cell: 8.929 8.929 8.929 Å, 90.00 90.00 90.00°
Space group Fm-3m (No. 225)
Inequivalent atoms, fractional coordinates:
Ba (0.250, 0.250, 0.250) [8 per cell]
Gd (0.000, 0.000, 0.000) [4 per cell]
Pa (0.000, 0.000, 0.500) [4 per cell]
O (0.000, 0.000, 0.256) [24 per cell]

Principal peaks in the range 10° ≤ 2θ ≤ 80°, low angle first:
2θ 17.2, I 3
2θ 19.9, I 7
2θ 28.3, I 100
2θ 33.3, I 2
2θ 40.4, I 28
2θ 45.4, I 3
2θ 50.0, I 42
2θ 53.3, I 1
2θ 58.5, I 19
2θ 62.4, I 2
2θ 66.2, I 19
2θ 73.5, I 6

---

This entry pairs a crystal structure of BaGd2PtO5 with its calculated XRD peak list. Radiation: λ = 1.5418 Å (Cu Kα). Structure: a crystal structure in the Materials Project, relaxed with PBE.

Atomic structure:
Cell: 6.689 6.689 5.963 Å, 90.00 90.00 90.00°
Space group P4/mbm (No. 127)
Inequivalent atoms, fractional coordinates:
Ba (0.000, 0.000, 0.000) [2 per cell]
Gd (0.175, 0.325, 0.500) [4 per cell]
Pt (0.000, 0.500, 0.000) [2 per cell]
O (0.000, 0.000, 0.500) [2 per cell]
O (0.140, 0.640, 0.258) [8 per cell]

Principal peaks in the range 10° ≤ 2θ ≤ 80°, low angle first:
2θ 18.8, I 12
2θ 29.9, I 13
2θ 30.0, I 37
2θ 30.6, I 100
2θ 33.5, I 32
2θ 38.1, I 24
2θ 42.8, I 27
2θ 45.5, I 13
2θ 49.2, I 23
2θ 53.6, I 21
2θ 57.2, I 12
2θ 70.4, I 11

---

This entry pairs a crystal structure of Ba2GdRuO6 with its calculated XRD peak list. Radiation: λ = 1.5418 Å (Cu Kα). Structure: a crystal structure in the Materials Project, relaxed with PBE.

Atomic structure:
Cell: 6.011 6.001 10.398 Å, 90.00 125.30 90.00°
Space group P2_1/c (No. 14)
Inequivalent atoms, fractional coordinates:
Ba (0.250, 0.000, 0.250) [4 per cell]
Gd (0.000, 0.000, 0.500) [2 per cell]
Ru (0.500, 0.000, 0.000) [2 per cell]
O (0.246, 0.000, 0.766) [4 per cell]
O (0.275, 0.232, 0.011) [4 per cell]
O (0.279, 0.736, 0.510) [4 per cell]

Principal peaks in the range 10° ≤ 2θ ≤ 80°, low angle first:
2θ 18.1, I 1
2θ 29.8, I 100
2θ 35.0, I 2
2θ 36.7, I 2
2θ 42.6, I 29
2θ 52.8, I 40
2θ 61.8, I 15
2θ 61.8, I 3
2θ 70.1, I 15
2θ 70.1, I 3
2θ 77.9, I 3
2θ 78.0, I 3